Simulated powder diffraction line list
Compound: KFeCl4
Radiation: a wavelength of 1.5418 Å
Structure: the PBE geometry in the Materials Project
Neutral-atom scattering factors, no anomalous dispersion.

Principal peaks in the range 5° ≤ 2θ ≤ 70°, sorted by position:
| h k l | 2theta | d (Å) | I (rel.) |
| --- | --- | --- | --- |
| 1 0 1 | 15.69 | 5.649 | 568 |
| 0 0 2 | 18.66 | 4.755 | 542 |
| 1 2 0 | 20.42 | 4.349 | 498 |
| 1 2 -1 | 22.10 | 4.022 | 964 |
| 1 1 -2 | 23.00 | 3.867 | 1000 |
| 0 2 2 | 25.01 | 3.560 | 649 |
| 2 1 1 | 27.72 | 3.218 | 878 |
| 1 2 2 | 28.40 | 3.142 | 488 |
| 2 1 2 | 32.79 | 2.731 | 634 |
| 0 4 1 | 34.72 | 2.584 | 951 |

Atomic structure:
a b c (Å): 7.4349 10.7403 9.5367
angles (deg): 90.00 94.24 90.00
Space group P2_1 (No. 4)
Inequivalent atoms, fractional coordinates:
K 0.0635 0.0000 0.0560 (multiplicity 2)
K 0.4269 0.3894 0.4470 (multiplicity 2)
Fe 0.0096 0.6473 0.4363 (multiplicity 2)
Fe 0.4876 0.7475 0.0669 (multiplicity 2)
Cl 0.0296 0.4862 0.2935 (multiplicity 2)
Cl 0.0536 0.3206 0.6800 (multiplicity 2)
Cl 0.2081 0.1174 0.4202 (multiplicity 2)
Cl 0.2242 0.7323 0.9424 (multiplicity 2)
Cl 0.2750 0.6615 0.5578 (multiplicity 2)
Cl 0.2906 0.2742 0.0735 (multiplicity 2)
Cl 0.4560 0.0773 0.8100 (multiplicity 2)
Cl 0.4652 0.9120 0.2045 (multiplicity 2)